# Tl4Cd
Calculated XRD peak list, Cu Ka. Input: a GGA-PBE-relaxed structure.
Neutral-atom scattering factors, no anomalous dispersion.

Lattice parameters (Å, degrees): 8.793 8.793 5.785 108.23 108.23 120.28
Sites, in units of the cell vectors:
Tl (0.039, 0.221, 0.127)
Tl (0.156, 0.535, 0.843)
Tl (0.221, 0.039, 0.627)
Tl (0.465, 0.844, 0.657)
Tl (0.535, 0.156, 0.343)
Tl (0.779, 0.961, 0.373)
Tl (0.844, 0.465, 0.157)
Tl (0.961, 0.779, 0.873)
Cd (0.497, 0.503, 0.750)
Cd (0.503, 0.497, 0.250)

Largest 6 diffraction maxima, sorted by position, 15° ≤ 2θ ≤ 90°:
Position (°2θ)	Rel. int.
30.47	100
30.73	90
30.94	71
31.29	92
31.59	91
32.15	97

# TlCd4
Calculated XRD peak list, Cu Ka. Input: a GGA-PBE-relaxed structure.
Neutral-atom scattering factors, no anomalous dispersion.

Lattice parameters (Å, degrees): 7.669 7.669 7.669 147.09 147.09 47.22
Sites, in units of the cell vectors:
Tl (0.000, 0.000, 0.000)
Cd (0.250, 0.750, 0.500)
Cd (0.399, 0.399, 0.000)
Cd (0.601, 0.601, 0.000)
Cd (0.750, 0.250, 0.500)

Largest 6 diffraction maxima, sorted by position, 15° ≤ 2θ ≤ 90°:
Position (°2θ)	Rel. int.
28.01	42
31.80	100
38.14	46
41.58	42
57.69	27
69.76	20